# Cd2Hg3Pb3
Simulated XRD peak list, λ = 1.5418 Å (Cu Kα). Input: a crystal structure in Alexandria, relaxed with GGA-PBE.
Lines closer than 0.1° are merged.

Peak list (10 most intense, 10 to 80 degrees two-theta, in order of rising 2θ)
2θ (°), d_spacing, Rel. int., index
29.24, 3.054, 27.1, 1 0 2
29.91, 2.987, 20.7, 1 1 2
31.24, 2.863, 100.0, 2 4 0
33.50, 2.675, 15.8, 2 0 2
34.92, 2.569, 15.4, 1 3 2
37.45, 2.401, 21.5, 4 0 0
38.83, 2.319, 30.5, 1 4 2
39.69, 2.271, 15.3, 3 0 2
51.24, 1.783, 13.0, 0 8 0
66.66, 1.403, 12.8, 2 4 4

Cell and atoms:
Lattice parameters (Å, degrees): 9.6057 14.2634 6.4418 90.00 90.00 90.00
Fractional coordinates of all 32 atoms:
Cd (0.0438, 0.1150, 0.0916)
Cd (0.0438, 0.3850, 0.0916)
Cd (0.4562, 0.6150, 0.5916)
Cd (0.4562, 0.8850, 0.5916)
Cd (0.5438, 0.1150, 0.4084)
Cd (0.5438, 0.3850, 0.4084)
Cd (0.9562, 0.6150, 0.9084)
Cd (0.9562, 0.8850, 0.9084)
Hg (0.2227, 0.2500, 0.8318)
Hg (0.2288, 0.5143, 0.8396)
Hg (0.2288, 0.9857, 0.8396)
Hg (0.2712, 0.0143, 0.3396)
Hg (0.2712, 0.4857, 0.3396)
Hg (0.2773, 0.7500, 0.3318)
Hg (0.7227, 0.2500, 0.6682)
Hg (0.7288, 0.5143, 0.6604)
Hg (0.7288, 0.9857, 0.6604)
Hg (0.7712, 0.0143, 0.1604)
Hg (0.7712, 0.4857, 0.1604)
Hg (0.7773, 0.7500, 0.1682)
Pb (0.0070, 0.6216, 0.4129)
Pb (0.0070, 0.8784, 0.4129)
Pb (0.2218, 0.7500, 0.8418)
Pb (0.2782, 0.2500, 0.3418)
Pb (0.4930, 0.1216, 0.9129)
Pb (0.4930, 0.3784, 0.9129)
Pb (0.5070, 0.6216, 0.0871)
Pb (0.5070, 0.8784, 0.0871)
Pb (0.7218, 0.7500, 0.6582)
Pb (0.7782, 0.2500, 0.1582)
Pb (0.9930, 0.1216, 0.5871)
Pb (0.9930, 0.3784, 0.5871)